# Zr5Sb3S
Simulated X-ray diffraction stick pattern, a wavelength of 1.5418 Å. Input: a cell relaxed with PBE.

Largest 10 diffraction maxima, most intense first, 5 to 70 degrees two-theta:
| hkl | Position (°2θ) | I (rel.) |
| --- | --- | --- |
| 2 1 1 | 35.50 | 100.0 |
| 1 1 2 | 36.21 | 88.1 |
| 3 0 0 | 36.70 | 50.1 |
| 2 1 3 | 55.95 | 26.2 |
| 3 1 1 | 47.00 | 24.1 |
| 0 0 2 | 29.20 | 21.1 |
| 2 1 0 | 32.24 | 16.9 |
| 2 2 2 | 52.51 | 15.3 |
| 0 0 4 | 60.55 | 10.6 |
| 3 1 3 | 64.67 | 9.1 |

Atomic structure:
a b c (Å): 8.4834 8.4834 6.1164
angles (deg): 90.00 90.00 120.00
Space group P6_3/mcm (No. 193)
One atom of each set of equivalent atoms:
Zr: 0.0000 0.2495 0.2500 (multiplicity 6)
Zr: 0.3333 0.6667 0.0000 (multiplicity 4)
Sb: 0.0000 0.3988 0.7500 (multiplicity 6)
S: 0.0000 0.0000 0.0000 (multiplicity 2)